VCr2Ni3P6O24: simulated PXRD pattern (copper Kα), based on a structure optimized by DFT (GGA+U).
Neutral-atom scattering factors, no anomalous dispersion.

Cell and atoms:
Unit cell a=8.3745 b=8.3745 c=8.3745 alpha=61.88 beta=61.88 gamma=61.88
Element x y z (fractional)
V  0.0000  0.0000  0.0000
Cr  0.1466  0.1466  0.1466
Cr  0.6500  0.6500  0.6500
Ni  0.2902  0.2902  0.2902
Ni  0.5049  0.5049  0.5049
Ni  0.7901  0.7901  0.7901
P  0.0989  0.6946  0.3954
P  0.1957  0.5972  0.8923
P  0.3954  0.0989  0.6946
P  0.5972  0.8923  0.1957
P  0.6946  0.3954  0.0989
P  0.8923  0.1957  0.5972
O  0.0516  0.2000  0.4007
O  0.0517  0.6533  0.8022
O  0.0767  0.9037  0.2336
O  0.1307  0.7657  0.9736
O  0.1408  0.5459  0.3161
O  0.2000  0.4007  0.0516
O  0.2336  0.0767  0.9037
O  0.2547  0.6667  0.4581
O  0.3161  0.1408  0.5459
O  0.4003  0.5917  0.7527
O  0.4007  0.0516  0.2000
O  0.4581  0.2547  0.6667
O  0.5459  0.3161  0.1408
O  0.5456  0.8940  0.7164
O  0.5917  0.7527  0.4003
O  0.6533  0.8022  0.0517
O  0.6667  0.4581  0.2547
O  0.7164  0.5456  0.8940
O  0.7527  0.4003  0.5917
O  0.7657  0.9736  0.1307
O  0.8022  0.0517  0.6533
O  0.8940  0.7164  0.5456
O  0.9037  0.2336  0.0767
O  0.9736  0.1307  0.7657

Peak list (8 most intense, 2θ from 5° to 70°, by intensity)
- 2θ 24.53, intensity 100
- 2θ 20.63, intensity 90
- 2θ 33.78, intensity 68
- 2θ 36.13, intensity 43
- 2θ 48.37, intensity 31
- 2θ 50.29, intensity 27
- 2θ 56.55, intensity 23
- 2θ 63.48, intensity 21